# Hf2Ga3Cu
Computed PXRD pattern, Cu Kα (weighted mean of Kα1 and Kα2). Input: the PBE geometry in the Materials Project.
No peak broadening, texture or thermal motion is included.

Cell and atoms:
abc: 9.898 4.142 6.476
angles: 90.00 130.52 90.00
Fractional coordinates of all 12 atoms:
Hf 0.000 0.000 0.000
Hf 0.087 0.000 0.591
Hf 0.500 0.500 0.000
Hf 0.587 0.500 0.591
Ga 0.204 0.500 0.996
Ga 0.371 0.000 0.582
Ga 0.395 0.000 0.177
Ga 0.704 0.000 0.996
Ga 0.871 0.500 0.582
Ga 0.895 0.500 0.177
Cu 0.211 0.500 0.406
Cu 0.711 0.000 0.406

Principal peaks in the range 2θ from 15° to 90°, sorted by position:
(2 0 0), 2θ 23.6, 3.762 Å, rel. 21
(1 1 0), 2θ 24.5, 3.628 Å, rel. 45
(1 1 1), 2θ 35.0, 2.562 Å, rel. 39
(3 1 -1), 2θ 35.1, 2.554 Å, rel. 28
(0 0 2), 2θ 36.5, 2.461 Å, rel. 38
(4 0 -2), 2θ 36.7, 2.447 Å, rel. 41
(1 1 -2), 2θ 37.2, 2.419 Å, rel. 98
(3 1 -2), 2θ 37.3, 2.412 Å, rel. 100
(3 1 0), 2θ 42.1, 2.145 Å, rel. 87
(0 2 0), 2θ 43.7, 2.071 Å, rel. 68
(0 2 2), 2θ 58.2, 1.585 Å, rel. 20
(4 2 -2), 2θ 58.4, 1.581 Å, rel. 21